# 1
Theoretical powder diffractogram
Compound: KCdIn
Radiation: Cu Kα (λ = 1.5418 Å)
Structure: DFT lattice parameters and positions (GGA-PBE)

Main lines, low angle first (2θ from 15° to 90°):
(hkl), two_theta, d_spacing, I (rel.)
1 1 0, 19.90, 4.462, 55
1 1 2, 28.67, 3.114, 76
1 2 1, 28.79, 3.101, 99
0 1 3, 32.59, 2.747, 99
2 0 0, 34.38, 2.609, 72
1 3 0, 35.72, 2.514, 100
1 2 3, 41.35, 2.184, 71
2 1 3, 48.10, 1.892, 64

Atomic structure:
```
data_KCdIn
_chemical_formula_sum 'K4 Cd4 In4'
_space_group_name_H-M_alt 'I m a 2'
_space_group_IT_number 46
_cell_length_a 5.217
_cell_length_b 8.606
_cell_length_c 8.697
_cell_angle_alpha 90.00
_cell_angle_beta 90.00
_cell_angle_gamma 90.00
loop_
_space_group_symop_operation_xyz
'x,y,z'
'-x,-y,z'
'-x+1/2,y,z'
'x+1/2,-y,z'
'x+1/2,y+1/2,z+1/2'
'-x+1/2,-y+1/2,z+1/2'
'-x,y+1/2,z+1/2'
'x,-y+1/2,z+1/2'
loop_
_atom_site_label
_atom_site_type_symbol
_atom_site_fract_x
_atom_site_fract_y
_atom_site_fract_z
_atom_site_occupancy
K1 K 0.250 0.180 0.000 1
Cd1 Cd 0.250 0.592 0.824 1
In1 In 0.250 0.587 0.175 1
```

---

# 2
Theoretical powder diffractogram
Compound: K4Cd3In
Radiation: Cu Kα (λ = 1.5418 Å)
Structure: DFT lattice parameters and positions (GGA-PBE)

Main lines, low angle first (2θ from 15° to 90°):
(hkl), two_theta, d_spacing, I (rel.)
1 0 1, 19.11, 4.645, 37
2 0 0, 31.33, 2.855, 51
1 1 2, 31.52, 2.839, 100
2 1 1, 36.96, 2.432, 15
2 2 0, 44.89, 2.019, 18
3 1 2, 55.88, 1.645, 36
2 0 4, 56.23, 1.636, 17
2 2 4, 65.79, 1.419, 10

Atomic structure:
```
data_K4Cd3In
_chemical_formula_sum 'K4 Cd3 In1'
_space_group_name_H-M_alt 'P -4 m 2'
_space_group_IT_number 115
_cell_length_a 5.711
_cell_length_b 5.711
_cell_length_c 7.983
_cell_angle_alpha 90.00
_cell_angle_beta 90.00
_cell_angle_gamma 90.00
loop_
_space_group_symop_operation_xyz
'x,y,z'
'y,-x,-z'
'-x,-y,z'
'-y,x,-z'
'-x,y,z'
'-y,-x,-z'
'x,-y,z'
'y,x,-z'
loop_
_atom_site_label
_atom_site_type_symbol
_atom_site_fract_x
_atom_site_fract_y
_atom_site_fract_z
_atom_site_occupancy
K1 K 0.000 0.000 0.000 1
K2 K 0.000 0.500 0.747 1
K3 K 0.500 0.500 0.500 1
Cd1 Cd 0.000 0.000 0.500 1
Cd2 Cd 0.000 0.500 0.238 1
In1 In 0.500 0.500 0.000 1
```

---

# 3
Theoretical powder diffractogram
Compound: La3Cd4In2
Radiation: Cu Kα (λ = 1.5418 Å)
Structure: DFT lattice parameters and positions (GGA-PBE)

Main lines, low angle first (2θ from 15° to 90°):
(hkl), two_theta, d_spacing, I (rel.)
1 1 2, 31.51, 2.840, 62
4 0 -1, 31.61, 2.830, 61
0 2 0, 35.41, 2.535, 100
6 0 -3, 48.15, 1.890, 18
4 2 -1, 48.24, 1.886, 13
2 2 -5, 61.02, 1.518, 12
7 1 -4, 61.23, 1.514, 19
3 3 -3, 63.64, 1.462, 13

Atomic structure:
```
data_La3Cd4In2
_chemical_formula_sum 'La6 Cd8 In4'
_space_group_name_H-M_alt 'C 1 2/m 1'
_space_group_IT_number 12
_cell_length_a 11.483
_cell_length_b 5.061
_cell_length_c 9.566
_cell_angle_alpha 90.00
_cell_angle_beta 116.87
_cell_angle_gamma 90.00
loop_
_space_group_symop_operation_xyz
'x,y,z'
'-x,-y,-z'
'-x,y,-z'
'x,-y,z'
'x+1/2,y+1/2,z'
'-x+1/2,-y+1/2,-z'
'-x+1/2,y+1/2,-z'
'x+1/2,-y+1/2,z'
loop_
_atom_site_label
_atom_site_type_symbol
_atom_site_fract_x
_atom_site_fract_y
_atom_site_fract_z
_atom_site_occupancy
La1 La 0.000 0.000 0.000 1
La2 La 0.166 0.500 0.671 1
Cd1 Cd 0.075 0.000 0.411 1
Cd2 Cd 0.205 0.500 0.036 1
In1 In 0.110 0.500 0.277 1
```

---

# 4
Theoretical powder diffractogram
Compound: Li4Cd3In
Radiation: Cu Kα (λ = 1.5418 Å)
Structure: DFT lattice parameters and positions (GGA-PBE)

Main lines, low angle first (2θ from 15° to 90°):
(hkl), two_theta, d_spacing, I (rel.)
1 0 1, 23.07, 3.855, 100
2 0 0, 38.12, 2.361, 97
2 1 1, 45.02, 2.013, 50
2 2 0, 54.97, 1.670, 11
3 0 1, 60.42, 1.532, 20
3 1 2, 68.88, 1.363, 32
3 2 1, 73.69, 1.286, 11
4 0 0, 81.54, 1.181, 10

Atomic structure:
```
data_Li4Cd3In
_chemical_formula_sum 'Li4 Cd3 In1'
_space_group_name_H-M_alt 'P -4 m 2'
_space_group_IT_number 115
_cell_length_a 4.725
_cell_length_b 4.725
_cell_length_c 6.670
_cell_angle_alpha 90.00
_cell_angle_beta 90.00
_cell_angle_gamma 90.00
loop_
_space_group_symop_operation_xyz
'x,y,z'
'y,-x,-z'
'-x,-y,z'
'-y,x,-z'
'-x,y,z'
'-y,-x,-z'
'x,-y,z'
'y,x,-z'
loop_
_atom_site_label
_atom_site_type_symbol
_atom_site_fract_x
_atom_site_fract_y
_atom_site_fract_z
_atom_site_occupancy
Li1 Li 0.000 0.000 0.000 1
Li2 Li 0.000 0.500 0.748 1
Li3 Li 0.500 0.500 0.500 1
Cd1 Cd 0.000 0.000 0.500 1
Cd2 Cd 0.000 0.500 0.253 1
In1 In 0.500 0.500 0.000 1
```

---

# 5
Theoretical powder diffractogram
Compound: Li2Cd2InPd2Pb
Radiation: Cu Kα (λ = 1.5418 Å)
Structure: DFT lattice parameters and positions (GGA-PBE)

Main lines, low angle first (2θ from 15° to 90°):
(hkl), two_theta, d_spacing, I (rel.)
1 0 1, 23.22, 3.830, 21
0 0 2, 26.88, 3.317, 22
2 0 0, 38.37, 2.346, 100
2 1 1, 45.30, 2.002, 7
2 2 0, 55.33, 1.660, 11
3 1 2, 69.35, 1.355, 23
2 0 4, 69.48, 1.353, 11
2 2 4, 82.25, 1.172, 7

Atomic structure:
```
data_Li2Cd2InPd2Pb
_chemical_formula_sum 'Li2 Cd2 In1 Pd2 Pb1'
_space_group_name_H-M_alt 'P -4 m 2'
_space_group_IT_number 115
_cell_length_a 4.697
_cell_length_b 4.697
_cell_length_c 6.620
_cell_angle_alpha 90.00
_cell_angle_beta 90.00
_cell_angle_gamma 90.00
loop_
_space_group_symop_operation_xyz
'x,y,z'
'y,-x,-z'
'-x,-y,z'
'-y,x,-z'
'-x,y,z'
'-y,-x,-z'
'x,-y,z'
'y,x,-z'
loop_
_atom_site_label
_atom_site_type_symbol
_atom_site_fract_x
_atom_site_fract_y
_atom_site_fract_z
_atom_site_occupancy
Li1 Li 0.000 0.500 0.243 1
Cd1 Cd 0.000 0.000 0.000 1
Cd2 Cd 0.500 0.500 0.500 1
In1 In 0.500 0.500 0.000 1
Pd1 Pd 0.000 0.500 0.761 1
Pb1 Pb 0.000 0.000 0.500 1
```

---

# 6
Theoretical powder diffractogram
Compound: Li2ScCdIn2Pd2
Radiation: Cu Kα (λ = 1.5418 Å)
Structure: DFT lattice parameters and positions (GGA-PBE)

Main lines, low angle first (2θ from 15° to 90°):
(hkl), two_theta, d_spacing, I (rel.)
1 0 1, 23.47, 3.791, 47
1 1 2, 38.75, 2.324, 100
2 0 0, 38.88, 2.316, 50
2 1 1, 45.92, 1.976, 15
2 2 0, 56.16, 1.638, 16
2 0 4, 70.05, 1.343, 16
3 1 2, 70.32, 1.339, 33
2 2 4, 83.13, 1.162, 10

Atomic structure:
```
data_Li2ScCdIn2Pd2
_chemical_formula_sum 'Li2 Sc1 Cd1 In2 Pd2'
_space_group_name_H-M_alt 'P -4 m 2'
_space_group_IT_number 115
_cell_length_a 4.632
_cell_length_b 4.632
_cell_length_c 6.595
_cell_angle_alpha 90.00
_cell_angle_beta 90.00
_cell_angle_gamma 90.00
loop_
_space_group_symop_operation_xyz
'x,y,z'
'y,-x,-z'
'-x,-y,z'
'-y,x,-z'
'-x,y,z'
'-y,-x,-z'
'x,-y,z'
'y,x,-z'
loop_
_atom_site_label
_atom_site_type_symbol
_atom_site_fract_x
_atom_site_fract_y
_atom_site_fract_z
_atom_site_occupancy
Li1 Li 0.000 0.500 0.231 1
Sc1 Sc 0.000 0.000 0.500 1
Cd1 Cd 0.500 0.500 0.000 1
In1 In 0.000 0.000 0.000 1
In2 In 0.500 0.500 0.500 1
Pd1 Pd 0.000 0.500 0.738 1
```

---

# 7
Theoretical powder diffractogram
Compound: Li4CdInPt2
Radiation: Cu Kα (λ = 1.5418 Å)
Structure: DFT lattice parameters and positions (GGA-PBE)

Main lines, low angle first (2θ from 15° to 90°):
(hkl), two_theta, d_spacing, I (rel.)
1 0 1, 24.33, 3.658, 100
2 0 0, 40.26, 2.240, 86
2 1 1, 47.60, 1.910, 50
2 2 0, 58.24, 1.584, 15
3 0 1, 64.06, 1.454, 20
3 1 2, 73.18, 1.293, 29
3 2 1, 78.43, 1.219, 15
4 0 0, 86.99, 1.120, 9

Atomic structure:
```
data_Li4CdInPt2
_chemical_formula_sum 'Li4 Cd1 In1 Pt2'
_space_group_name_H-M_alt 'P -4 m 2'
_space_group_IT_number 115
_cell_length_a 4.482
_cell_length_b 4.482
_cell_length_c 6.332
_cell_angle_alpha 90.00
_cell_angle_beta 90.00
_cell_angle_gamma 90.00
loop_
_space_group_symop_operation_xyz
'x,y,z'
'y,-x,-z'
'-x,-y,z'
'-y,x,-z'
'-x,y,z'
'-y,-x,-z'
'x,-y,z'
'y,x,-z'
loop_
_atom_site_label
_atom_site_type_symbol
_atom_site_fract_x
_atom_site_fract_y
_atom_site_fract_z
_atom_site_occupancy
Li1 Li 0.000 0.000 0.000 1
Li2 Li 0.000 0.500 0.746 1
Li3 Li 0.500 0.500 0.500 1
Cd1 Cd 0.000 0.000 0.500 1
In1 In 0.500 0.500 0.000 1
Pt1 Pt 0.000 0.500 0.242 1
```

---

# 8
Theoretical powder diffractogram
Compound: Nd3Mg3TlCdIn
Radiation: Cu Kα (λ = 1.5418 Å)
Structure: DFT lattice parameters and positions (GGA-PBE)

Main lines, low angle first (2θ from 15° to 90°):
(hkl), two_theta, d_spacing, I (rel.)
1 1 0, 23.12, 3.847, 32
1 1 1, 29.87, 2.992, 74
2 0 1, 32.82, 2.729, 100
1 2 0, 35.65, 2.518, 18
0 0 2, 37.81, 2.379, 27
3 0 0, 40.57, 2.223, 48
3 1 1, 53.17, 1.723, 18
3 2 1, 63.99, 1.455, 25

Atomic structure:
```
data_Nd3Mg3TlCdIn
_chemical_formula_sum 'Nd3 Mg3 Tl1 Cd1 In1'
_space_group_name_H-M_alt 'P -6'
_space_group_IT_number 174
_cell_length_a 7.6935
_cell_length_b 7.6935
_cell_length_c 4.7586
_cell_angle_alpha 90.00
_cell_angle_beta 90.00
_cell_angle_gamma 120.00
loop_
_space_group_symop_operation_xyz
'x,y,z'
'-x+y,-x,-z'
'-y,x-y,z'
'x,y,-z'
'-x+y,-x,z'
'-y,x-y,-z'
loop_
_atom_site_label
_atom_site_type_symbol
_atom_site_fract_x
_atom_site_fract_y
_atom_site_fract_z
_atom_site_occupancy
Nd1 Nd 0.0901 0.3341 0.0000 1
Mg1 Mg 0.4286 0.3340 0.5000 1
Tl1 Tl 0.0000 0.0000 0.5000 1
Cd1 Cd 0.6667 0.3333 0.0000 1
In1 In 0.3333 0.6667 0.5000 1
```

---

# 9
Theoretical powder diffractogram
Compound: PrTm2Mg3CdIn2
Radiation: Cu Kα (λ = 1.5418 Å)
Structure: DFT lattice parameters and positions (GGA-PBE)

Main lines, low angle first (2θ from 15° to 90°):
(hkl), two_theta, d_spacing, I (rel.)
0 3 1, 23.45, 3.794, 28
0 2 2, 27.48, 3.245, 21
1 3 1, 30.35, 2.945, 57
1 0 2, 30.70, 2.912, 36
1 4 0, 33.19, 2.700, 46
1 2 2, 33.63, 2.665, 100
2 0 0, 38.55, 2.336, 37
0 3 3, 41.75, 2.163, 22

Atomic structure:
```
data_PrTm2Mg3CdIn2
_chemical_formula_sum 'Pr2 Tm4 Mg6 Cd2 In4'
_space_group_name_H-M_alt 'A m m 2'
_space_group_IT_number 38
_cell_length_a 4.671
_cell_length_b 13.231
_cell_length_c 7.448
_cell_angle_alpha 90.00
_cell_angle_beta 90.00
_cell_angle_gamma 90.00
loop_
_space_group_symop_operation_xyz
'x,y,z'
'-x,-y,z'
'-x,y,z'
'x,-y,z'
'x,y+1/2,z+1/2'
'-x,-y+1/2,z+1/2'
'-x,y+1/2,z+1/2'
'x,-y+1/2,z+1/2'
loop_
_atom_site_label
_atom_site_type_symbol
_atom_site_fract_x
_atom_site_fract_y
_atom_site_fract_z
_atom_site_occupancy
Pr1 Pr 0.000 0.000 0.000 1
Tm1 Tm 0.000 0.214 0.638 1
Mg1 Mg 0.500 0.000 0.669 1
Mg2 Mg 0.500 0.119 0.308 1
Cd1 Cd 0.000 0.000 0.440 1
In1 In 0.500 0.171 0.924 1
```

---

# 10
Theoretical powder diffractogram
Compound: Pr2TmMg3CdIn2
Radiation: Cu Kα (λ = 1.5418 Å)
Structure: DFT lattice parameters and positions (GGA-PBE)

Main lines, low angle first (2θ from 15° to 90°):
(hkl), two_theta, d_spacing, I (rel.)
0 3 1, 23.44, 3.795, 25
0 2 2, 26.79, 3.328, 25
1 0 2, 29.89, 2.990, 30
1 3 1, 30.23, 2.956, 75
1 2 2, 32.95, 2.719, 100
1 4 0, 33.37, 2.685, 57
2 0 0, 38.18, 2.357, 41
0 3 3, 40.66, 2.219, 21

Atomic structure:
```
data_Pr2TmMg3CdIn2
_chemical_formula_sum 'Pr4 Tm2 Mg6 Cd2 In4'
_space_group_name_H-M_alt 'A m m 2'
_space_group_IT_number 38
_cell_length_a 4.714
_cell_length_b 13.067
_cell_length_c 7.734
_cell_angle_alpha 90.00
_cell_angle_beta 90.00
_cell_angle_gamma 90.00
loop_
_space_group_symop_operation_xyz
'x,y,z'
'-x,-y,z'
'-x,y,z'
'x,-y,z'
'x,y+1/2,z+1/2'
'-x,-y+1/2,z+1/2'
'-x,y+1/2,z+1/2'
'x,-y+1/2,z+1/2'
loop_
_atom_site_label
_atom_site_type_symbol
_atom_site_fract_x
_atom_site_fract_y
_atom_site_fract_z
_atom_site_occupancy
Pr1 Pr 0.000 0.211 0.000 1
Tm1 Tm 0.000 0.000 0.364 1
Mg1 Mg 0.500 0.000 0.022 1
Mg2 Mg 0.500 0.120 0.665 1
Cd1 Cd 0.000 0.000 0.773 1
In1 In 0.500 0.162 0.289 1
```

---

# 11
Theoretical powder diffractogram
Compound: Cd2InMo
Radiation: Cu Kα (λ = 1.5418 Å)
Structure: DFT lattice parameters and positions (GGA-PBE)

Main lines, low angle first (2θ from 15° to 90°):
(hkl), two_theta, d_spacing, I (rel.)
2 2 0, 37.47, 2.400, 100
4 0 0, 54.03, 1.697, 17
4 2 2, 67.60, 1.386, 33
4 4 0, 79.93, 1.200, 10

Atomic structure:
```
data_Cd2InMo
_chemical_formula_sum 'Cd8 In4 Mo4'
_space_group_name_H-M_alt 'F -4 3 m'
_space_group_IT_number 216
_space_group_name_Hall 'F -4 2 3'
_cell_length_a 6.789
_cell_length_b 6.789
_cell_length_c 6.789
_cell_angle_alpha 90.00
_cell_angle_beta 90.00
_cell_angle_gamma 90.00
loop_
_atom_site_label
_atom_site_type_symbol
_atom_site_fract_x
_atom_site_fract_y
_atom_site_fract_z
_atom_site_occupancy
Cd1 Cd 0.000 0.000 0.000 1
Cd2 Cd 0.250 0.250 0.250 1
In1 In 0.000 0.000 0.500 1
Mo1 Mo 0.250 0.250 0.750 1
```

---

# 12
Theoretical powder diffractogram
Compound: Zr4CdInN2
Radiation: Cu Kα (λ = 1.5418 Å)
Structure: DFT lattice parameters and positions (GGA-PBE)

Main lines, low angle first (2θ from 15° to 90°):
(hkl), two_theta, d_spacing, I (rel.)
1 0 0, 31.19, 2.867, 17
0 0 6, 36.21, 2.481, 100
1 0 6, 48.57, 1.874, 14
1 1 0, 55.51, 1.655, 17
2 0 0, 65.06, 1.434, 2
1 0 9, 65.20, 1.431, 14
1 1 6, 68.11, 1.377, 28
2 0 6, 76.83, 1.241, 3

Atomic structure:
```
data_Zr4CdInN2
_chemical_formula_sum 'Zr4 Cd1 In1 N2'
_space_group_name_H-M_alt 'P -6 m 2'
_space_group_IT_number 187
_space_group_name_Hall 'P -6 2'
_cell_length_a 3.3109
_cell_length_b 3.3109
_cell_length_c 14.8604
_cell_angle_alpha 90.00
_cell_angle_beta 90.00
_cell_angle_gamma 120.00
loop_
_atom_site_label
_atom_site_type_symbol
_atom_site_fract_x
_atom_site_fract_y
_atom_site_fract_z
_atom_site_occupancy
Zr1 Zr 0.0000 0.0000 0.1670 1
Zr2 Zr 0.3333 0.6667 0.3331 1
Cd1 Cd 0.3333 0.6667 0.0000 1
In1 In 0.0000 0.0000 0.5000 1
N1 N 0.6667 0.3333 0.2488 1
```

---

# 13
Theoretical powder diffractogram
Compound: Na6CdIn
Radiation: Cu Kα (λ = 1.5418 Å)
Structure: DFT lattice parameters and positions (GGA-PBE)

Main lines, low angle first (2θ from 15° to 90°):
(hkl), two_theta, d_spacing, I (rel.)
1 0 1, 21.82, 4.074, 69
1 1 0, 25.98, 3.429, 32
2 0 0, 30.09, 2.970, 24
0 0 2, 31.97, 2.799, 27
2 0 1, 34.18, 2.624, 100
2 1 1, 43.43, 2.084, 26
2 0 3, 58.40, 1.580, 29
4 0 1, 64.98, 1.435, 21

Atomic structure:
```
data_Na6CdIn
_chemical_formula_sum 'Na6 Cd1 In1'
_space_group_name_H-M_alt 'P -6 m 2'
_space_group_IT_number 187
_space_group_name_Hall 'P -6 2'
_cell_length_a 6.8590
_cell_length_b 6.8590
_cell_length_c 5.5984
_cell_angle_alpha 90.00
_cell_angle_beta 90.00
_cell_angle_gamma 120.00
loop_
_atom_site_label
_atom_site_type_symbol
_atom_site_fract_x
_atom_site_fract_y
_atom_site_fract_z
_atom_site_occupancy
Na1 Na 0.0130 0.5065 0.0000 1
Na2 Na 0.3230 0.1615 0.5000 1
Cd1 Cd 0.0000 0.0000 0.0000 1
In1 In 0.3333 0.6667 0.5000 1
```

---

# 14
Theoretical powder diffractogram
Compound: Na8Cd2In
Radiation: Cu Kα (λ = 1.5418 Å)
Structure: DFT lattice parameters and positions (GGA-PBE)

Main lines, low angle first (2θ from 15° to 90°):
(hkl), two_theta, d_spacing, I (rel.)
1 1 -1, 19.71, 4.503, 78
2 0 -2, 21.53, 4.128, 33
0 2 0, 33.35, 2.687, 100
2 0 3, 33.63, 2.665, 96
3 1 2, 40.53, 2.226, 18
2 2 3, 48.09, 1.892, 34
3 3 -1, 59.68, 1.549, 23
4 2 -5, 59.81, 1.546, 22

Atomic structure:
```
data_Na8Cd2In
_chemical_formula_sum 'Na16 Cd4 In2'
_space_group_name_H-M_alt 'C 1 2/m 1'
_space_group_IT_number 12
_cell_length_a 9.317
_cell_length_b 5.368
_cell_length_c 12.317
_cell_angle_alpha 90.00
_cell_angle_beta 104.57
_cell_angle_gamma 90.00
loop_
_space_group_symop_operation_xyz
'x,y,z'
'-x,-y,-z'
'-x,y,-z'
'x,-y,z'
'x+1/2,y+1/2,z'
'-x+1/2,-y+1/2,-z'
'-x+1/2,y+1/2,-z'
'x+1/2,-y+1/2,z'
loop_
_atom_site_label
_atom_site_type_symbol
_atom_site_fract_x
_atom_site_fract_y
_atom_site_fract_z
_atom_site_occupancy
Na1 Na 0.091 0.000 0.272 1
Na2 Na 0.135 0.500 0.906 1
Na3 Na 0.181 0.000 0.544 1
Na4 Na 0.226 0.500 0.179 1
Cd1 Cd 0.043 0.500 0.628 1
In1 In 0.000 0.000 0.000 1
```

---

# 15
Theoretical powder diffractogram
Compound: Na2Cd2In2PdPt
Radiation: Cu Kα (λ = 1.5418 Å)
Structure: DFT lattice parameters and positions (GGA-PBE)

Main lines, low angle first (2θ from 15° to 90°):
(hkl), two_theta, d_spacing, I (rel.)
1 0 1, 22.73, 3.912, 23
2 0 0, 37.54, 2.396, 100
2 1 1, 44.34, 2.043, 12
2 2 0, 54.14, 1.694, 17
3 0 1, 59.46, 1.555, 5
3 1 2, 67.75, 1.383, 34
4 0 0, 80.12, 1.198, 11
4 1 1, 84.61, 1.145, 4

Atomic structure:
```
data_Na2Cd2In2PdPt
_chemical_formula_sum 'Na2 Cd2 In2 Pd1 Pt1'
_space_group_name_H-M_alt 'P -4 m 2'
_space_group_IT_number 115
_cell_length_a 4.793
_cell_length_b 4.793
_cell_length_c 6.773
_cell_angle_alpha 90.00
_cell_angle_beta 90.00
_cell_angle_gamma 90.00
loop_
_space_group_symop_operation_xyz
'x,y,z'
'y,-x,-z'
'-x,-y,z'
'-y,x,-z'
'-x,y,z'
'-y,-x,-z'
'x,-y,z'
'y,x,-z'
loop_
_atom_site_label
_atom_site_type_symbol
_atom_site_fract_x
_atom_site_fract_y
_atom_site_fract_z
_atom_site_occupancy
Na1 Na 0.000 0.000 0.000 1
Na2 Na 0.500 0.500 0.500 1
Cd1 Cd 0.000 0.500 0.749 1
In1 In 0.000 0.500 0.250 1
Pd1 Pd 0.000 0.000 0.500 1
Pt1 Pt 0.500 0.500 0.000 1
```